[1]
The following is a computed powder diffraction line list of RbH8Pd4. It was derived from a cell relaxed with PBE, using Cu Ka.
Intensities are scaled so that the largest is 100.

Largest 10 diffraction maxima, in order of falling intensity, 2θ from 15° to 90°:
2θ (°)	I (rel.)
27.91	100
36.83	91
40.63	73
37.10	45
36.02	44
40.17	38
52.46	33
64.07	28
42.78	26
35.91	22

Structural model:
Lattice parameters (Å, degrees): 5.813 5.813 7.166 113.03 113.03 60.03
Atoms (fractional coordinates):
Rb1 0.000 0.000 0.000
H1 0.207 0.207 0.624
H2 0.208 0.704 0.620
H3 0.295 0.295 0.379
H4 0.296 0.792 0.380
H5 0.704 0.208 0.620
H6 0.705 0.705 0.621
H7 0.792 0.296 0.380
H8 0.793 0.793 0.376
Pd1 0.000 0.000 0.500
Pd2 0.000 0.500 0.500
Pd3 0.500 0.000 0.500
Pd4 0.500 0.500 0.500



[2]
The following is a computed powder diffraction line list of Rb2H2Pd. It was derived from a cell relaxed with PBE, using Cu Ka.
Intensities are scaled so that the largest is 100.

Largest 10 diffraction maxima, in order of falling intensity, 2θ from 15° to 90°:
2θ (°)	I (rel.)
30.55	100
30.98	91
31.29	86
15.50	76
26.41	47
54.38	35
54.97	31
55.77	29
43.29	19
44.21	16

Structural model:
Lattice parameters (Å, degrees): 7.979 8.194 4.180 90.00 90.00 90.00
Atoms (fractional coordinates):
Rb1 0.229 0.232 0.000
Rb2 0.271 0.732 0.000
Rb3 0.729 0.268 0.000
Rb4 0.771 0.768 0.000
H1 0.213 0.485 0.500
H2 0.287 0.985 0.500
H3 0.713 0.015 0.500
H4 0.787 0.515 0.500
Pd1 0.000 0.500 0.500
Pd2 0.500 0.000 0.500



[3]
The following is a computed powder diffraction line list of Rb3H4Pd. It was derived from a cell relaxed with PBE, using Cu Ka.
Intensities are scaled so that the largest is 100.

Largest 10 diffraction maxima, in order of falling intensity, 2θ from 15° to 90°:
2θ (°)	I (rel.)
28.05	100
29.16	23
31.52	20
51.03	19
43.47	15
54.03	15
60.54	13
36.44	13
57.99	12
47.34	12

Structural model:
Lattice parameters (Å, degrees): 6.124 9.862 5.676 90.00 90.00 90.00
Atoms (fractional coordinates):
Rb1 0.000 0.000 0.000
Rb2 0.000 0.259 0.521
Rb3 0.000 0.741 0.521
Rb4 0.500 0.241 0.021
Rb5 0.500 0.500 0.500
Rb6 0.500 0.759 0.021
H1 0.000 0.327 0.023
H2 0.000 0.673 0.023
H3 0.225 0.000 0.485
H4 0.275 0.500 0.985
H5 0.500 0.173 0.523
H6 0.500 0.827 0.523
H7 0.725 0.500 0.985
H8 0.775 0.000 0.485
Pd1 0.000 0.500 0.008
Pd2 0.500 0.000 0.508



[4]
The following is a computed powder diffraction line list of RbTlH2Pd2. It was derived from a cell relaxed with PBE, using Cu Ka.
Intensities are scaled so that the largest is 100.

Largest 10 diffraction maxima, in order of falling intensity, 2θ from 15° to 90°:
2θ (°)	I (rel.)
22.67	100
38.15	69
39.35	68
16.01	60
28.84	51
27.30	47
33.25	46
46.29	40
33.15	34
25.60	27

Structural model:
Lattice parameters (Å, degrees): 6.347 5.559 8.277 90.00 102.73 90.00
Atoms (fractional coordinates):
Rb1 0.207 0.250 0.368
Rb2 0.793 0.750 0.632
Tl1 0.332 0.750 0.063
Tl2 0.668 0.250 0.937
H1 0.138 0.250 0.797
H2 0.362 0.750 0.662
H3 0.638 0.250 0.338
H4 0.862 0.750 0.203
Pd1 0.293 0.002 0.765
Pd2 0.293 0.498 0.765
Pd3 0.707 0.502 0.235
Pd4 0.707 0.998 0.235



[5]
The following is a computed powder diffraction line list of RbTlH2Pd. It was derived from a cell relaxed with PBE, using Cu Ka.
Intensities are scaled so that the largest is 100.

Largest 10 diffraction maxima, in order of falling intensity, 2θ from 15° to 90°:
2θ (°)	I (rel.)
32.58	100
27.33	43
38.11	39
32.08	36
47.53	26
29.75	20
23.17	18
43.85	17
55.38	16
52.45	14

Structural model:
Lattice parameters (Å, degrees): 6.845 6.845 7.678 90.00 90.00 144.89
Atoms (fractional coordinates):
Rb1 0.231 0.769 0.750
Rb2 0.769 0.231 0.250
Tl1 0.029 0.971 0.250
Tl2 0.971 0.029 0.750
H1 0.372 0.628 0.039
H2 0.372 0.628 0.461
H3 0.628 0.372 0.539
H4 0.628 0.372 0.961
Pd1 0.500 0.500 0.000
Pd2 0.500 0.500 0.500



[6]
The following is a computed powder diffraction line list of H7Pd4Rh. It was derived from a cell relaxed with PBE, using Cu Ka.
Intensities are scaled so that the largest is 100.

Largest 10 diffraction maxima, in order of falling intensity, 2θ from 15° to 90°:
2θ (°)	I (rel.)
38.48	100
37.87	53
37.99	53
39.54	48
41.23	42
51.69	23
66.97	20
71.38	16
57.64	16
26.09	15

Structural model:
Lattice parameters (Å, degrees): 3.537 4.560 6.800 91.36 104.90 90.07
Atoms (fractional coordinates):
H1 0.000 0.000 0.000
H2 0.193 0.389 0.385
H3 0.367 0.105 0.737
H4 0.472 0.629 0.936
H5 0.528 0.371 0.064
H6 0.633 0.895 0.263
H7 0.807 0.611 0.615
Pd1 0.170 0.997 0.339
Pd2 0.340 0.509 0.682
Pd3 0.660 0.491 0.318
Pd4 0.830 0.003 0.661
Rh1 0.500 0.000 0.000



[7]
The following is a computed powder diffraction line list of HPd3Rh. It was derived from a cell relaxed with PBE, using Cu Ka.
Intensities are scaled so that the largest is 100.

Largest 5 diffraction maxima, in order of falling intensity, 2θ from 15° to 90°:
2θ (°)	I (rel.)
39.22	100
45.60	49
79.98	36
66.47	31
84.33	11

Structural model:
Lattice parameters (Å, degrees): 3.978 3.978 3.978 90.00 90.00 90.00
Atoms (fractional coordinates):
H1 0.000 0.000 0.000
Pd1 0.000 0.000 0.500
Pd2 0.000 0.500 0.000
Pd3 0.500 0.000 0.000
Rh1 0.500 0.500 0.500



[8]
The following is a computed powder diffraction line list of H3PdRh. It was derived from a cell relaxed with PBE, using Cu Ka.
Intensities are scaled so that the largest is 100.

Largest 10 diffraction maxima, in order of falling intensity, 2θ from 15° to 90°:
2θ (°)	I (rel.)
36.16	100
41.97	32
60.87	22
42.05	16
72.94	15
72.82	12
60.95	11
73.00	9
76.69	5
76.77	5

Structural model:
Lattice parameters (Å, degrees): 4.298 4.301 8.619 89.92 89.96 89.96
Atoms (fractional coordinates):
H1 0.000 0.000 0.000
H2 0.000 0.000 0.243
H3 0.499 0.000 0.234
H4 0.499 0.000 0.757
H5 0.499 0.001 0.513
H6 0.499 0.500 0.000
H7 0.499 0.501 0.530
H8 0.501 0.500 0.243
H9 0.998 0.500 0.753
H10 0.999 0.001 0.530
H11 0.999 0.501 0.020
H12 0.999 0.501 0.510
Pd1 0.247 0.252 0.377
Pd2 0.249 0.251 0.876
Pd3 0.749 0.750 0.877
Pd4 0.751 0.749 0.377
Rh1 0.249 0.751 0.632
Rh2 0.252 0.752 0.124
Rh3 0.747 0.248 0.124
Rh4 0.748 0.250 0.632



Copy entry 8 word for word.
The following is a computed powder diffraction line list of H3PdRh. It was derived from a cell relaxed with PBE, using Cu Ka.
Intensities are scaled so that the largest is 100.

Largest 10 diffraction maxima, in order of falling intensity, 2θ from 15° to 90°:
2θ (°)	I (rel.)
36.16	100
41.97	32
60.87	22
42.05	16
72.94	15
72.82	12
60.95	11
73.00	9
76.69	5
76.77	5

Structural model:
Lattice parameters (Å, degrees): 4.298 4.301 8.619 89.92 89.96 89.96
Atoms (fractional coordinates):
H1 0.000 0.000 0.000
H2 0.000 0.000 0.243
H3 0.499 0.000 0.234
H4 0.499 0.000 0.757
H5 0.499 0.001 0.513
H6 0.499 0.500 0.000
H7 0.499 0.501 0.530
H8 0.501 0.500 0.243
H9 0.998 0.500 0.753
H10 0.999 0.001 0.530
H11 0.999 0.501 0.020
H12 0.999 0.501 0.510
Pd1 0.247 0.252 0.377
Pd2 0.249 0.251 0.876
Pd3 0.749 0.750 0.877
Pd4 0.751 0.749 0.377
Rh1 0.249 0.751 0.632
Rh2 0.252 0.752 0.124
Rh3 0.747 0.248 0.124
Rh4 0.748 0.250 0.632